Record 1
SmTlGe: simulated powder XRD pattern (Cu Kα X-rays), based on a crystal structure in Alexandria, relaxed with GGA-PBE.

Principal peaks in the range 2θ = 15–90°, by angle:
- 2θ = 31.1°, intensity 100
- 2θ = 31.5°, intensity 83
- 2θ = 31.8°, intensity 84
- 2θ = 32.3°, intensity 64
- 2θ = 34.2°, intensity 65
- 2θ = 39.8°, intensity 64

```
6
Lattice="3.9857 0.0000 0.0000 -1.7941 4.0004 0.0000 -0.2088 -2.1378 10.2202" Properties=species:S:1:pos:R:3 pbc="T T T"
Sm 0.0087 0.1913 2.0227
Sm 1.9741 1.6713 8.1975
Tl 0.0234 0.1313 6.0266
Tl 1.9594 1.7313 4.1936
Ge 0.1173 2.7366 0.2400
Ge 1.8655 -0.8740 9.9803
```



Record 2
TlHPb: simulated powder XRD pattern (Cu Kα X-rays), based on a crystal structure in Alexandria, relaxed with GGA-PBE.

Principal peaks in the range 2θ = 15–90°, by angle:
- 2θ = 23.5°, intensity 56
- 2θ = 30.8°, intensity 29
- 2θ = 32.7°, intensity 100
- 2θ = 39.1°, intensity 31
- 2θ = 47.5°, intensity 36
- 2θ = 56.0°, intensity 22

```
6
Lattice="2.9029 -3.7878 0.0000 2.9029 3.7878 0.0000 0.0000 0.0000 6.8075" Properties=species:S:1:pos:R:3 pbc="T T T"
Tl 0.0000 0.0000 0.0000
Tl 0.0000 0.0000 3.4037
H 2.9029 1.9323 5.1056
H 2.9029 -1.9323 1.7019
Pb 2.9029 0.0042 1.7019
Pb 2.9029 -0.0042 5.1056
```